No. 1
# AgAuO2
Calculated powder diffraction line list, Cu Ka. Input: a cell relaxed with GGA-PBE.
Lines closer than 0.1° are merged.

Cell and atoms:
Cell: 5.4653 5.2922 4.3134 Å, 90.00 90.00 90.00°
Fractional positions:
Ag  0.0000  0.0000  0.0000
Ag  0.5000  0.0000  0.5000
Au  0.0000  0.5000  0.5000
Au  0.5000  0.5000  0.0000
O  0.2500  0.2956  0.2500
O  0.2500  0.7044  0.7500
O  0.7500  0.2956  0.2500
O  0.7500  0.7044  0.7500

Principal peaks in the range 2θ from 10° to 90°, by angle:
| 2theta | I/Imax |
| --- | --- |
| 31.36 | 100 |
| 32.77 | 18 |
| 33.88 | 17 |
| 47.85 | 18 |
| 54.18 | 13 |
| 54.92 | 12 |
| 57.62 | 18 |
| 59.05 | 16 |
| 65.45 | 10 |
| 69.95 | 10 |



No. 2
# AgAuO2
Calculated powder diffraction line list, Cu Ka. Input: a cell relaxed with GGA-PBE.
Lines closer than 0.1° are merged.

Cell and atoms:
Cell: 5.6163 4.0659 5.5330 Å, 90.00 103.82 90.00°
Fractional positions:
Ag  0.0000  0.0000  0.0000
Ag  0.0000  0.5000  0.5000
Au  0.5000  0.0000  0.5000
Au  0.5000  0.5000  0.0000
O  0.2999  0.2102  0.7234
O  0.2999  0.2898  0.2234
O  0.7001  0.7102  0.7766
O  0.7001  0.7898  0.2766

Principal peaks in the range 2θ from 10° to 90°, by angle:
| 2theta | I/Imax |
| --- | --- |
| 16.25 | 20 |
| 29.96 | 100 |
| 32.85 | 34 |
| 33.35 | 32 |
| 34.15 | 79 |
| 41.15 | 25 |
| 54.17 | 20 |
| 54.85 | 20 |
| 56.46 | 20 |
| 56.80 | 22 |



No. 3
# AgPd2Au
Calculated powder diffraction line list, Cu Ka. Input: a cell relaxed with GGA-PBE.
Lines closer than 0.1° are merged.

Cell and atoms:
Cell: 2.8748 2.8748 27.9699 Å, 90.00 90.00 120.00°
Fractional positions:
Ag  0.0000  0.0000  0.0000
Ag  0.3333  0.6667  0.6667
Ag  0.6667  0.3333  0.3333
Pd  0.0000  0.0000  0.2505
Pd  0.0000  0.0000  0.5038
Pd  0.3333  0.6667  0.1705
Pd  0.3333  0.6667  0.9171
Pd  0.6667  0.3333  0.5838
Pd  0.6667  0.3333  0.8371
Au  0.0000  0.0000  0.7536
Au  0.3333  0.6667  0.4203
Au  0.6667  0.3333  0.0869

Principal peaks in the range 2θ from 10° to 90°, by angle:
| 2theta | I/Imax |
| --- | --- |
| 19.04 | 5 |
| 38.38 | 100 |
| 38.63 | 32 |
| 44.68 | 64 |
| 64.87 | 21 |
| 65.21 | 20 |
| 77.96 | 12 |
| 78.12 | 24 |
| 78.44 | 12 |
| 82.20 | 11 |



No. 4
# Pm2AgAu
Calculated powder diffraction line list, Cu Ka. Input: a cell relaxed with GGA-PBE.
Lines closer than 0.1° are merged.

Cell and atoms:
Cell: 7.4420 7.4420 7.4420 Å, 90.00 90.00 90.00°
Fractional positions:
Pm  0.2500  0.2500  0.2500
Pm  0.2500  0.2500  0.7500
Pm  0.2500  0.7500  0.2500
Pm  0.2500  0.7500  0.7500
Pm  0.7500  0.2500  0.2500
Pm  0.7500  0.2500  0.7500
Pm  0.7500  0.7500  0.2500
Pm  0.7500  0.7500  0.7500
Ag  0.0000  0.0000  0.0000
Ag  0.0000  0.5000  0.5000
Ag  0.5000  0.0000  0.5000
Ag  0.5000  0.5000  0.0000
Au  0.0000  0.0000  0.5000
Au  0.0000  0.5000  0.0000
Au  0.5000  0.0000  0.0000
Au  0.5000  0.5000  0.5000

Principal peaks in the range 2θ from 10° to 90°, by angle:
| 2theta | I/Imax |
| --- | --- |
| 20.67 | 4 |
| 34.08 | 100 |
| 40.19 | 3 |
| 48.96 | 18 |
| 53.69 | 1 |
| 60.99 | 37 |
| 65.13 | 1 |
| 71.75 | 11 |
| 75.59 | 1 |
| 81.86 | 16 |



No. 5
# AgAu2S2
Calculated powder diffraction line list, Cu Ka. Input: a cell relaxed with GGA-PBE.
Lines closer than 0.1° are merged.

Cell and atoms:
Cell: 7.2885 4.4540 7.1725 Å, 90.00 90.94 90.00°
Fractional positions:
Ag  0.0000  0.2369  0.0000
Ag  0.0000  0.7631  0.5000
Au  0.3508  0.1040  0.6461
Au  0.3508  0.8960  0.1461
Au  0.5896  0.4990  0.4015
Au  0.5896  0.5010  0.9015
S  0.0485  0.2641  0.6558
S  0.0485  0.7359  0.1558
S  0.6253  0.1704  0.1516
S  0.6253  0.8296  0.6516

Principal peaks in the range 2θ from 10° to 90°, by angle:
| 2theta | I/Imax |
| --- | --- |
| 12.14 | 93 |
| 23.41 | 86 |
| 26.64 | 69 |
| 27.54 | 67 |
| 31.73 | 88 |
| 32.04 | 100 |
| 34.24 | 56 |
| 34.54 | 44 |
| 35.41 | 58 |
| 42.42 | 65 |



No. 6
# AgAuS2
Calculated powder diffraction line list, Cu Ka. Input: a cell relaxed with GGA-PBE.
Lines closer than 0.1° are merged.

Cell and atoms:
Cell: 4.8904 5.5799 7.9333 Å, 90.00 90.00 90.00°
Fractional positions:
Ag  0.0000  0.0000  0.2500
Ag  0.0000  0.0000  0.7500
Au  0.5000  0.5000  0.0000
Au  0.5000  0.5000  0.5000
S  0.3259  0.1152  0.0000
S  0.3259  0.8848  0.5000
S  0.6741  0.1152  0.5000
S  0.6741  0.8848  0.0000

Principal peaks in the range 2θ from 10° to 90°, by angle:
| 2theta | I/Imax |
| --- | --- |
| 18.14 | 16 |
| 22.41 | 17 |
| 24.20 | 100 |
| 27.59 | 59 |
| 28.98 | 91 |
| 32.08 | 31 |
| 43.78 | 50 |
| 46.57 | 49 |
| 49.58 | 19 |
| 52.41 | 25 |



No. 7
# Ag4AuS2
Calculated powder diffraction line list, Cu Ka. Input: a cell relaxed with GGA-PBE.
Lines closer than 0.1° are merged.

Cell and atoms:
Cell: 5.1708 3.9750 6.8967 Å, 90.00 93.76 90.00°
Fractional positions:
Ag  0.1968  0.0000  0.2703
Ag  0.2079  0.5000  0.8669
Ag  0.7921  0.5000  0.1331
Ag  0.8032  0.0000  0.7297
Au  0.5000  0.5000  0.5000
S  0.0000  0.5000  0.5000
S  0.5000  0.0000  0.0000

Principal peaks in the range 2θ from 10° to 90°, by angle:
| 2theta | I/Imax |
| --- | --- |
| 20.83 | 15 |
| 22.37 | 12 |
| 30.26 | 44 |
| 31.72 | 100 |
| 34.47 | 32 |
| 38.00 | 19 |
| 43.13 | 45 |
| 45.29 | 17 |
| 45.65 | 50 |
| 55.75 | 15 |



No. 8
# Ag6Au2Se3S
Calculated powder diffraction line list, Cu Ka. Input: a cell relaxed with GGA-PBE.
Lines closer than 0.1° are merged.

Cell and atoms:
Cell: 8.7173 8.7173 10.0742 Å, 125.19 125.19 70.60°
Fractional positions:
Ag  0.0000  0.0000  0.0000
Ag  0.0065  0.2466  0.3746
Ag  0.2517  0.4933  0.1276
Ag  0.2571  0.7429  0.5000
Ag  0.3779  0.1212  0.1261
Ag  0.3858  0.1156  0.6284
Ag  0.5038  0.4962  0.0000
Ag  0.5067  0.7483  0.8724
Ag  0.7534  0.9935  0.6254
Ag  0.7543  0.2457  0.5000
Ag  0.8788  0.6221  0.8739
Ag  0.8844  0.6142  0.3716
Au  0.1305  0.6202  0.7505
Au  0.3750  0.3696  0.4951
Au  0.3798  0.8695  0.2495
Au  0.6304  0.6250  0.5049
Se  0.0926  0.8697  0.2493
Se  0.1303  0.9074  0.7507
Se  0.1317  0.3326  0.7510
Se  0.6305  0.3371  0.2171
Se  0.6629  0.3695  0.7829
Se  0.6674  0.8683  0.2490
S  0.1034  0.3686  0.2229
S  0.6314  0.8966  0.7771

Principal peaks in the range 2θ from 10° to 90°, by angle:
| 2theta | I/Imax |
| --- | --- |
| 12.42 | 36 |
| 28.01 | 12 |
| 30.74 | 17 |
| 33.27 | 100 |
| 37.88 | 16 |
| 40.02 | 32 |
| 44.03 | 25 |
| 45.92 | 18 |
| 49.55 | 26 |
| 74.12 | 12 |



No. 9
# Sc2AgAu
Calculated powder diffraction line list, Cu Ka. Input: a cell relaxed with GGA-PBE.
Lines closer than 0.1° are merged.

Cell and atoms:
Cell: 6.8476 6.8476 6.8476 Å, 90.00 90.00 90.00°
Fractional positions:
Sc  0.2500  0.2500  0.2500
Sc  0.2500  0.2500  0.7500
Sc  0.2500  0.7500  0.2500
Sc  0.2500  0.7500  0.7500
Sc  0.7500  0.2500  0.2500
Sc  0.7500  0.2500  0.7500
Sc  0.7500  0.7500  0.2500
Sc  0.7500  0.7500  0.7500
Ag  0.0000  0.0000  0.0000
Ag  0.0000  0.5000  0.5000
Ag  0.5000  0.0000  0.5000
Ag  0.5000  0.5000  0.0000
Au  0.0000  0.0000  0.5000
Au  0.0000  0.5000  0.0000
Au  0.5000  0.0000  0.0000
Au  0.5000  0.5000  0.5000

Principal peaks in the range 2θ from 10° to 90°, by angle:
| 2theta | I/Imax |
| --- | --- |
| 22.49 | 10 |
| 26.03 | 38 |
| 37.14 | 100 |
| 43.85 | 6 |
| 45.91 | 12 |
| 53.53 | 17 |
| 60.46 | 15 |
| 66.95 | 34 |
| 79.12 | 11 |
| 84.99 | 8 |



No. 10
# AgTe2Au
Calculated powder diffraction line list, Cu Ka. Input: a cell relaxed with GGA-PBE.
Lines closer than 0.1° are merged.

Cell and atoms:
Cell: 8.9673 4.9908 4.7758 Å, 90.00 90.00 90.00°
Fractional positions:
Ag  0.0000  0.0000  0.0000
Ag  0.5000  0.0000  0.0000
Te  0.2500  0.0000  0.3231
Te  0.2500  0.5000  0.8177
Te  0.7500  0.0000  0.6769
Te  0.7500  0.5000  0.1823
Au  0.0000  0.5000  0.5000
Au  0.5000  0.5000  0.5000

Principal peaks in the range 2θ from 10° to 90°, by angle:
| 2theta | I/Imax |
| --- | --- |
| 25.82 | 22 |
| 27.70 | 45 |
| 32.75 | 100 |
| 35.99 | 35 |
| 39.90 | 17 |
| 40.23 | 26 |
| 42.91 | 30 |
| 55.07 | 20 |
| 57.21 | 25 |
| 75.72 | 15 |



No. 11
# Ag3Te2Au
Calculated powder diffraction line list, Cu Ka. Input: a cell relaxed with GGA-PBE.
Lines closer than 0.1° are merged.

Cell and atoms:
Cell: 9.1352 9.1352 9.1352 Å, 109.47 109.47 109.47°
Fractional positions:
Ag  0.1407  0.7500  0.8907
Ag  0.1407  0.8907  0.2500
Ag  0.2500  0.1407  0.8907
Ag  0.2500  0.6093  0.3593
Ag  0.3593  0.2500  0.6093
Ag  0.3593  0.6093  0.7500
Ag  0.6093  0.3593  0.2500
Ag  0.6093  0.7500  0.3593
Ag  0.7500  0.3593  0.6093
Ag  0.7500  0.8907  0.1407
Ag  0.8907  0.1407  0.7500
Ag  0.8907  0.2500  0.1407
Te  0.0000  0.5413  0.5000
Te  0.0000  0.9587  0.5000
Te  0.5000  0.0000  0.5413
Te  0.5000  0.0000  0.9587
Te  0.5413  0.5000  0.0000
Te  0.5413  0.5413  0.5413
Te  0.9587  0.5000  0.0000
Te  0.9587  0.9587  0.9587
Au  0.0000  0.2500  0.5000
Au  0.2500  0.2500  0.2500
Au  0.2500  0.5000  0.0000
Au  0.5000  0.0000  0.2500

Principal peaks in the range 2θ from 10° to 90°, by angle:
| 2theta | I/Imax |
| --- | --- |
| 11.86 | 33 |
| 23.86 | 15 |
| 29.33 | 15 |
| 31.74 | 100 |
| 36.13 | 28 |
| 38.15 | 29 |
| 41.96 | 43 |
| 43.76 | 41 |
| 47.19 | 23 |
| 70.26 | 28 |



No. 12
# AgTe4Au
Calculated powder diffraction line list, Cu Ka. Input: a cell relaxed with GGA-PBE.
Lines closer than 0.1° are merged.

Cell and atoms:
Cell: 9.0679 4.5782 10.2757 Å, 90.00 123.93 90.00°
Fractional positions:
Ag  0.0000  0.0200  0.2500
Ag  0.0000  0.9800  0.7500
Te  0.2032  0.4689  0.2051
Te  0.2032  0.5311  0.7051
Te  0.3067  0.1005  0.0452
Te  0.3067  0.8995  0.5452
Te  0.6933  0.1005  0.4548
Te  0.6933  0.8995  0.9548
Te  0.7968  0.4689  0.2949
Te  0.7968  0.5311  0.7949
Au  0.5000  0.5000  0.0000
Au  0.5000  0.5000  0.5000

Principal peaks in the range 2θ from 10° to 90°, by angle:
| 2theta | I/Imax |
| --- | --- |
| 17.26 | 11 |
| 28.76 | 100 |
| 29.28 | 41 |
| 39.36 | 14 |
| 41.04 | 31 |
| 41.98 | 25 |
| 42.83 | 19 |
| 44.67 | 12 |
| 49.81 | 11 |
| 51.94 | 10 |